[1]
The following is a theoretical powder diffraction line list of Re2S2NCl11. It was derived from a DFT-relaxed cell (GGA-PBE, the Materials Project), using CuKα.
Kinematic intensities with the Lorentz-polarization factor, no thermal factor.

Principal peaks in the range 10° ≤ 2θ ≤ 80°, by angle:
d_spacing, two_theta, I_rel
7.929, 11.16, 52
6.682, 13.25, 25
6.353, 13.94, 88
5.765, 15.37, 100
5.698, 15.55, 43
4.173, 21.29, 16
3.972, 22.38, 16
3.207, 27.81, 14
2.911, 30.71, 19
2.100, 43.08, 19

Atomic structure:
abc: 9.148 9.148 11.951
angles: 101.87 101.87 93.85
Atoms (fractional coordinates):
Re: 0.076 0.729 0.781
Re: 0.271 0.924 0.719
Re: 0.729 0.076 0.281
Re: 0.924 0.271 0.219
S: 0.246 0.602 0.126
S: 0.398 0.754 0.374
S: 0.602 0.246 0.626
S: 0.754 0.398 0.874
N: 0.295 0.705 0.250
N: 0.705 0.295 0.750
Cl: 0.012 0.221 0.048
Cl: 0.024 0.976 0.750
Cl: 0.130 0.494 0.811
Cl: 0.162 0.367 0.329
Cl: 0.169 0.673 0.602
Cl: 0.221 0.012 0.548
Cl: 0.327 0.831 0.898
Cl: 0.367 0.162 0.829
Cl: 0.386 0.442 0.103
Cl: 0.442 0.386 0.603
Cl: 0.494 0.130 0.311
Cl: 0.506 0.870 0.689
Cl: 0.558 0.614 0.397
Cl: 0.614 0.558 0.897
Cl: 0.633 0.838 0.171
Cl: 0.673 0.169 0.102
Cl: 0.779 0.988 0.452
Cl: 0.831 0.327 0.398
Cl: 0.838 0.633 0.671
Cl: 0.870 0.506 0.189
Cl: 0.976 0.024 0.250
Cl: 0.988 0.779 0.952

=====

[2]
The following is a theoretical powder diffraction line list of SbS2NCl6. It was derived from a DFT-relaxed cell (GGA-PBE, the Materials Project), using CuKα.
Kinematic intensities with the Lorentz-polarization factor, no thermal factor.

Principal peaks in the range 10° ≤ 2θ ≤ 80°, by angle:
d_spacing, two_theta, I_rel
6.286, 14.09, 81
5.843, 15.16, 58
5.439, 16.30, 91
4.903, 18.09, 56
4.095, 21.70, 29
3.641, 24.45, 64
2.921, 30.60, 100
2.630, 34.09, 49
2.330, 38.64, 38
1.816, 50.25, 48

Atomic structure:
abc: 7.351 7.351 7.351
angles: 120.68 112.30 96.33
Atoms (fractional coordinates):
Sb: 0.000 0.000 0.000
S: 0.317 0.500 0.817
S: 0.683 0.500 0.183
N: 0.500 0.500 0.000
Cl: 0.173 0.410 0.237
Cl: 0.173 0.936 0.763
Cl: 0.294 0.000 0.294
Cl: 0.706 0.000 0.706
Cl: 0.827 0.064 0.237
Cl: 0.827 0.590 0.763

=====

[3]
The following is a theoretical powder diffraction line list of SbS2NCl8. It was derived from a DFT-relaxed cell (GGA-PBE, the Materials Project), using CuKα.
Kinematic intensities with the Lorentz-polarization factor, no thermal factor.

Principal peaks in the range 10° ≤ 2θ ≤ 80°, by angle:
d_spacing, two_theta, I_rel
6.733, 13.15, 100
6.442, 13.75, 37
6.087, 14.55, 83
5.858, 15.12, 74
5.257, 16.86, 75
4.221, 21.05, 39
3.221, 27.70, 43
3.168, 28.17, 33
2.756, 32.49, 34
2.743, 32.65, 35

Atomic structure:
abc: 7.795 11.716 16.632
angles: 90.00 98.38 90.00
Atoms (fractional coordinates):
Sb: 0.246 0.200 0.347
Sb: 0.246 0.300 0.847
Sb: 0.754 0.700 0.153
Sb: 0.754 0.800 0.653
S: 0.200 0.721 0.518
S: 0.200 0.779 0.018
S: 0.283 0.716 0.853
S: 0.283 0.784 0.353
S: 0.717 0.216 0.647
S: 0.717 0.284 0.147
S: 0.800 0.221 0.982
S: 0.800 0.279 0.482
N: 0.235 0.719 0.939
N: 0.235 0.781 0.439
N: 0.765 0.219 0.561
N: 0.765 0.281 0.061
Cl: 0.024 0.154 0.822
Cl: 0.024 0.346 0.322
Cl: 0.035 0.066 0.382
Cl: 0.035 0.434 0.882
Cl: 0.188 0.142 0.207
Cl: 0.188 0.358 0.707
Cl: 0.229 0.550 0.509
Cl: 0.229 0.950 0.009
Cl: 0.302 0.238 0.988
Cl: 0.302 0.262 0.488
Cl: 0.326 0.626 0.313
Cl: 0.326 0.874 0.813
Cl: 0.459 0.163 0.813
Cl: 0.459 0.337 0.313
Cl: 0.472 0.059 0.375
Cl: 0.472 0.441 0.875
Cl: 0.528 0.559 0.125
Cl: 0.528 0.941 0.625
Cl: 0.541 0.663 0.687
Cl: 0.541 0.837 0.187
Cl: 0.674 0.126 0.187
Cl: 0.674 0.374 0.687
Cl: 0.698 0.738 0.512
Cl: 0.698 0.762 0.012
Cl: 0.771 0.050 0.991
Cl: 0.771 0.450 0.491
Cl: 0.812 0.642 0.293
Cl: 0.812 0.858 0.793
Cl: 0.965 0.566 0.118
Cl: 0.965 0.934 0.618
Cl: 0.976 0.654 0.678
Cl: 0.976 0.846 0.178

=====

[4]
The following is a theoretical powder diffraction line list of Se2SN2Cl2. It was derived from a DFT-relaxed cell (GGA-PBE, the Materials Project), using CuKα.
Kinematic intensities with the Lorentz-polarization factor, no thermal factor.

Principal peaks in the range 10° ≤ 2θ ≤ 80°, by angle:
d_spacing, two_theta, I_rel
8.612, 10.27, 18
5.860, 15.12, 23
5.049, 17.57, 100
4.306, 20.63, 17
3.802, 23.40, 29
3.313, 26.91, 18
3.215, 27.75, 21
3.063, 29.16, 32
2.871, 31.16, 27
2.063, 43.89, 17

Atomic structure:
abc: 7.604 17.224 10.877
angles: 90.00 90.00 90.00
Atoms (fractional coordinates):
Se: 0.138 0.102 0.050
Se: 0.138 0.398 0.550
Se: 0.216 0.574 0.855
Se: 0.216 0.926 0.355
Se: 0.284 0.074 0.855
Se: 0.284 0.426 0.355
Se: 0.362 0.602 0.050
Se: 0.362 0.898 0.550
Se: 0.638 0.102 0.450
Se: 0.638 0.398 0.950
Se: 0.716 0.574 0.645
Se: 0.716 0.926 0.145
Se: 0.784 0.074 0.645
Se: 0.784 0.426 0.145
Se: 0.862 0.602 0.450
Se: 0.862 0.898 0.950
S: 0.210 0.238 0.895
S: 0.210 0.262 0.395
S: 0.290 0.738 0.895
S: 0.290 0.762 0.395
S: 0.710 0.238 0.605
S: 0.710 0.262 0.105
S: 0.790 0.738 0.605
S: 0.790 0.762 0.105
N: 0.122 0.205 0.016
N: 0.122 0.295 0.516
N: 0.206 0.674 0.812
N: 0.206 0.826 0.312
N: 0.294 0.174 0.812
N: 0.294 0.326 0.312
N: 0.378 0.705 0.016
N: 0.378 0.795 0.516
N: 0.622 0.205 0.484
N: 0.622 0.295 0.984
N: 0.706 0.674 0.688
N: 0.706 0.826 0.188
N: 0.794 0.174 0.688
N: 0.794 0.326 0.188
N: 0.878 0.705 0.484
N: 0.878 0.795 0.984
Cl: 0.104 0.613 0.179
Cl: 0.104 0.887 0.679
Cl: 0.180 0.567 0.538
Cl: 0.180 0.933 0.038
Cl: 0.320 0.067 0.538
Cl: 0.320 0.433 0.038
Cl: 0.396 0.113 0.179
Cl: 0.396 0.387 0.679
Cl: 0.604 0.613 0.321
Cl: 0.604 0.887 0.821
Cl: 0.680 0.567 0.962
Cl: 0.680 0.933 0.462
Cl: 0.820 0.067 0.962
Cl: 0.820 0.433 0.462
Cl: 0.896 0.113 0.321
Cl: 0.896 0.387 0.821

=====

[5]
The following is a theoretical powder diffraction line list of SeS4N3Cl5. It was derived from a DFT-relaxed cell (GGA-PBE, the Materials Project), using CuKα.
Kinematic intensities with the Lorentz-polarization factor, no thermal factor.

Principal peaks in the range 10° ≤ 2θ ≤ 80°, by angle:
d_spacing, two_theta, I_rel
8.387, 10.55, 23
7.718, 11.47, 37
5.465, 16.22, 69
5.186, 17.10, 43
4.668, 19.01, 100
4.070, 21.83, 30
3.105, 28.75, 47
3.041, 29.37, 40
2.796, 32.01, 55
2.748, 32.58, 30

Atomic structure:
abc: 8.596 18.632 8.691
angles: 90.00 102.67 90.00
Atoms (fractional coordinates):
Se: 0.014 0.092 0.366
Se: 0.014 0.408 0.866
Se: 0.986 0.592 0.134
Se: 0.986 0.908 0.634
S: 0.293 0.663 0.821
S: 0.293 0.837 0.321
S: 0.322 0.561 0.722
S: 0.322 0.939 0.222
S: 0.381 0.095 0.898
S: 0.381 0.405 0.398
S: 0.420 0.236 0.759
S: 0.420 0.264 0.259
S: 0.580 0.736 0.741
S: 0.580 0.764 0.241
S: 0.619 0.595 0.602
S: 0.619 0.905 0.102
S: 0.678 0.061 0.778
S: 0.678 0.439 0.278
S: 0.707 0.163 0.679
S: 0.707 0.337 0.179
N: 0.347 0.177 0.852
N: 0.347 0.323 0.352
N: 0.427 0.717 0.801
N: 0.427 0.783 0.301
N: 0.469 0.560 0.644
N: 0.469 0.940 0.144
N: 0.531 0.060 0.856
N: 0.531 0.440 0.356
N: 0.573 0.217 0.699
N: 0.573 0.283 0.199
N: 0.653 0.677 0.648
N: 0.653 0.823 0.148
Cl: 0.012 0.210 0.423
Cl: 0.012 0.290 0.923
Cl: 0.018 0.559 0.839
Cl: 0.018 0.941 0.339
Cl: 0.041 0.105 0.112
Cl: 0.041 0.395 0.612
Cl: 0.269 0.591 0.220
Cl: 0.269 0.909 0.720
Cl: 0.302 0.090 0.456
Cl: 0.302 0.410 0.956
Cl: 0.698 0.590 0.044
Cl: 0.698 0.910 0.544
Cl: 0.731 0.091 0.280
Cl: 0.731 0.409 0.780
Cl: 0.959 0.605 0.388
Cl: 0.959 0.895 0.888
Cl: 0.982 0.059 0.661
Cl: 0.982 0.441 0.161
Cl: 0.988 0.710 0.077
Cl: 0.988 0.790 0.577

=====

[6]
The following is a theoretical powder diffraction line list of Se2SN2Cl2. It was derived from a DFT-relaxed cell (GGA-PBE, the Materials Project), using CuKα.
Kinematic intensities with the Lorentz-polarization factor, no thermal factor.

Principal peaks in the range 10° ≤ 2θ ≤ 80°, by angle:
d_spacing, two_theta, I_rel
5.558, 15.95, 85
5.152, 17.21, 32
5.036, 17.61, 100
4.419, 20.09, 44
4.194, 21.19, 32
3.906, 22.77, 77
3.711, 23.98, 32
2.951, 30.28, 55
2.698, 33.20, 47
2.350, 38.30, 41

Atomic structure:
abc: 7.955 20.606 8.387
angles: 90.00 90.00 90.00
Atoms (fractional coordinates):
Se: 0.080 0.097 0.083
Se: 0.080 0.403 0.583
Se: 0.192 0.203 0.000
Se: 0.192 0.297 0.500
Se: 0.308 0.703 0.000
Se: 0.308 0.797 0.500
Se: 0.420 0.597 0.083
Se: 0.420 0.903 0.583
Se: 0.580 0.097 0.417
Se: 0.580 0.403 0.917
Se: 0.692 0.203 0.500
Se: 0.692 0.297 0.000
Se: 0.808 0.703 0.500
Se: 0.808 0.797 0.000
Se: 0.920 0.597 0.417
Se: 0.920 0.903 0.917
S: 0.063 0.121 0.741
S: 0.063 0.379 0.241
S: 0.437 0.621 0.741
S: 0.437 0.879 0.241
S: 0.563 0.121 0.759
S: 0.563 0.379 0.259
S: 0.937 0.621 0.759
S: 0.937 0.879 0.259
N: 0.012 0.075 0.884
N: 0.012 0.425 0.384
N: 0.151 0.185 0.793
N: 0.151 0.315 0.293
N: 0.349 0.685 0.793
N: 0.349 0.815 0.293
N: 0.488 0.575 0.884
N: 0.488 0.925 0.384
N: 0.512 0.075 0.616
N: 0.512 0.425 0.116
N: 0.651 0.185 0.707
N: 0.651 0.315 0.207
N: 0.849 0.685 0.707
N: 0.849 0.815 0.207
N: 0.988 0.575 0.616
N: 0.988 0.925 0.116
Cl: 0.175 0.536 0.073
Cl: 0.175 0.964 0.573
Cl: 0.240 0.661 0.367
Cl: 0.240 0.839 0.867
Cl: 0.260 0.161 0.367
Cl: 0.260 0.339 0.867
Cl: 0.325 0.036 0.073
Cl: 0.325 0.464 0.573
Cl: 0.675 0.536 0.427
Cl: 0.675 0.964 0.927
Cl: 0.740 0.661 0.133
Cl: 0.740 0.839 0.633
Cl: 0.760 0.161 0.133
Cl: 0.760 0.339 0.633
Cl: 0.825 0.036 0.427
Cl: 0.825 0.464 0.927